Calculated X-ray powder pattern of LiV3OF11 for λ = 1.5418 Å (Cu Kα), from the GGA+U geometry in Alexandria.
Neutral-atom scattering factors, no anomalous dispersion.

Structure:
```
LiV3OF11
1.0
5.2495 0.0000 0.0000
0.1366 5.3043 0.0000
0.0080 2.4336 16.5173
Li V O F
2 6 2 22
direct
0.2498 0.1793 0.1733
0.7502 0.8207 0.8267
0.0000 0.5000 0.0000
0.0032 0.1748 0.6494
0.5000 0.0000 0.0000
0.5004 0.3250 0.3510
0.4996 0.6750 0.6490
0.9968 0.8252 0.3506
0.2306 0.2530 0.9867
0.7694 0.7470 0.0133
0.0140 0.6304 0.8910
0.0954 0.9041 0.2449
0.0974 0.2425 0.5479
0.1833 0.1207 0.3724
0.1871 0.4659 0.6759
0.2667 0.7185 0.0260
0.3107 0.6287 0.3728
0.3116 0.9744 0.6783
0.3975 0.7524 0.5465
0.3992 0.3869 0.2430
0.4995 0.0379 0.1090
0.5005 0.9621 0.8910
0.6008 0.6131 0.7570
0.6025 0.2476 0.4535
0.6884 0.0256 0.3217
0.6893 0.3713 0.6272
0.7333 0.2815 0.9740
0.8129 0.5341 0.3241
0.8167 0.8793 0.6276
0.9026 0.7575 0.4521
0.9046 0.0959 0.7551
0.9860 0.3696 0.1090
```

The 6 most intense peaks (10° ≤ 2θ ≤ 90°), low angle first:
h k l, Position (°2θ), Rel. int.
0 0 3, 16.1, 100
1 1 -1, 24.8, 33
1 1 2, 25.0, 30
1 -1 1, 25.4, 32
-1 1 2, 25.6, 32
2 2 1, 48.1, 11